Entry 1:
Diffraction record for RbPm4Pd3O12. The powder XRD pattern is simulated, not measured: it uses a cell relaxed with GGA-PBE and Cu Ka.
Peak positions follow from Bragg's law for the DFT cell and can differ from measured ones.

Top 10 peaks for 2θ from 10° to 90°, in order of rising 2θ:
(2 0 0), 2θ = 20.91°, I = 4; (2 2 0), 2θ = 29.74°, I = 100; (3 0 1), 2θ = 33.35°, I = 2; (4 0 0), 2θ = 42.56°, I = 21; (4 2 0), 2θ = 47.88°, I = 3; (4 2 2), 2θ = 52.78°, I = 48; (4 4 0), 2θ = 61.76°, I = 13; (6 0 2), 2θ = 70.03°, I = 19; (4 4 4), 2θ = 77.89°, I = 5; (6 2 4), 2θ = 85.52°, I = 21

Atomic structure:
a b c (Å): 8.497 8.497 8.497
angles (deg): 90.00 90.00 90.00
Space group Im-3 (No. 204)
Inequivalent atoms, fractional coordinates:
Rb  0.000  0.000  0.000 x2
Pm  0.250  0.250  0.250 x8
Pd  0.000  0.000  0.500 x6
O  0.000  0.329  0.160 x24

=====

Entry 2:
Diffraction record for Pm2YPdO6. The powder XRD pattern is simulated, not measured: it uses a cell relaxed with GGA-PBE and Cu Ka.
Peak positions follow from Bragg's law for the DFT cell and can differ from measured ones.

Top 10 peaks for 2θ from 10° to 90°, in order of rising 2θ:
(1 1 1), 2θ = 21.62°, I = 45; (1 0 1), 2θ = 29.16°, I = 100; (1 1 -1), 2θ = 29.73°, I = 94; (-1 1 1), 2θ = 30.03°, I = 98; (0 1 2), 2θ = 30.14°, I = 86; (1 2 1), 2θ = 30.61°, I = 90; (2 1 0), 2θ = 31.36°, I = 84; (0 2 0), 2θ = 41.47°, I = 47; (2 0 -2), 2θ = 44.05°, I = 76; (1 2 3), 2θ = 48.77°, I = 40

Atomic structure:
a b c (Å): 5.707 5.852 5.935
angles (deg): 61.54 89.96 62.06
Space group P1 (No. 1)
Inequivalent atoms, fractional coordinates:
Pm  0.000  0.000  0.000 x1
Pm  0.496  0.993  0.516 x1
Y  0.722  0.543  0.176 x1
Pd  0.208  0.567  0.647 x1
O  0.095  0.465  0.391 x1
O  0.336  0.710  0.862 x1
O  0.417  0.713  0.378 x1
O  0.602  0.034  0.874 x1
O  0.835  0.066  0.351 x1
O  0.939  0.474  0.862 x1

=====

Entry 3:
Diffraction record for PmZn3Pd4O12. The powder XRD pattern is simulated, not measured: it uses a cell relaxed with GGA-PBE and Cu Ka.
Peak positions follow from Bragg's law for the DFT cell and can differ from measured ones.

Top 10 peaks for 2θ from 10° to 90°, in order of rising 2θ:
(1 1 0), 2θ = 16.31°, I = 6; (2 0 0), 2θ = 23.14°, I = 2; (2 2 0), 2θ = 32.96°, I = 100; (3 0 1), 2θ = 36.98°, I = 4; (3 1 2), 2θ = 44.08°, I = 5; (4 0 0), 2θ = 47.31°, I = 24; (4 2 2), 2θ = 58.86°, I = 47; (4 4 0), 2θ = 69.13°, I = 13; (6 2 0), 2θ = 78.74°, I = 17; (4 4 4), 2θ = 88.04°, I = 4

Atomic structure:
a b c (Å): 7.686 7.686 7.686
angles (deg): 90.00 90.00 90.00
Space group Im-3 (No. 204)
Inequivalent atoms, fractional coordinates:
Pm  0.000  0.000  0.000 x2
Zn  0.000  0.000  0.500 x6
Pd  0.250  0.250  0.250 x8
O  0.000  0.298  0.169 x24

=====

Entry 4:
Diffraction record for PmZnPdO4. The powder XRD pattern is simulated, not measured: it uses a cell relaxed with GGA-PBE and Cu Ka.
Peak positions follow from Bragg's law for the DFT cell and can differ from measured ones.

Top 10 peaks for 2θ from 10° to 90°, in order of rising 2θ:
(0 1 1), 2θ = 16.51°, I = 33; (1 0 1), 2θ = 16.98°, I = 44; (1 2 1), 2θ = 31.31°, I = 100; (2 1 1), 2θ = 32.09°, I = 54; (0 2 2), 2θ = 33.38°, I = 33; (0 1 3), 2θ = 33.61°, I = 32; (1 0 3), 2θ = 33.85°, I = 38; (2 0 2), 2θ = 34.36°, I = 43; (2 2 0), 2θ = 38.14°, I = 46; (2 2 4), 2θ = 57.68°, I = 60

Atomic structure:
a b c (Å): 6.530 6.826 8.690
angles (deg): 90.00 90.00 90.00
Space group Imma (No. 74)
Inequivalent atoms, fractional coordinates:
Pm  0.000  0.000  0.000 x4
Zn  0.000  0.250  0.393 x4
Pd  0.250  0.250  0.750 x4
O  0.000  0.025  0.730 x8
O  0.242  0.250  0.990 x8

=====

Entry 5:
Diffraction record for Pm2ZnPdO5. The powder XRD pattern is simulated, not measured: it uses a cell relaxed with GGA-PBE and Cu Ka.
Peak positions follow from Bragg's law for the DFT cell and can differ from measured ones.

Top 10 peaks for 2θ from 10° to 90°, in order of rising 2θ:
(0 0 1), 2θ = 15.50°, I = 21; (1 1 0), 2θ = 18.65°, I = 20; (2 1 0), 2θ = 29.69°, I = 27; (2 0 1), 2θ = 30.84°, I = 100; (0 0 2), 2θ = 31.29°, I = 40; (2 1 1), 2θ = 33.66°, I = 68; (2 2 0), 2θ = 37.82°, I = 23; (2 1 2), 2θ = 43.68°, I = 49; (3 1 1), 2θ = 45.48°, I = 23; (2 2 2), 2θ = 49.87°, I = 19

Atomic structure:
a b c (Å): 6.729 6.729 5.717
angles (deg): 90.00 90.00 90.00
Space group P4/mbm (No. 127)
Inequivalent atoms, fractional coordinates:
Pm  0.172  0.328  0.000 x4
Zn  0.000  0.000  0.500 x2
Pd  0.000  0.500  0.500 x2
O  0.000  0.000  0.000 x2
O  0.144  0.644  0.249 x8

=====

Entry 6:
Diffraction record for PrPd3O4. The powder XRD pattern is simulated, not measured: it uses a cell relaxed with GGA-PBE and Cu Ka.
Peak positions follow from Bragg's law for the DFT cell and can differ from measured ones.

Top 10 peaks for 2θ from 10° to 90°, in order of rising 2θ:
(2 0 0), 2θ = 30.02°, I = 23; (2 1 0), 2θ = 33.66°, I = 97; (2 1 1), 2θ = 36.98°, I = 100; (2 2 2), 2θ = 53.30°, I = 10; (3 2 0), 2θ = 55.66°, I = 23; (3 2 1), 2θ = 57.96°, I = 54; (4 0 0), 2θ = 62.39°, I = 23; (4 2 1), 2θ = 72.79°, I = 20; (3 3 2), 2θ = 74.79°, I = 12; (5 2 0), 2θ = 88.42°, I = 18

Atomic structure:
a b c (Å): 5.954 5.954 5.954
angles (deg): 90.00 90.00 90.00
Space group Pm-3n (No. 223)
Inequivalent atoms, fractional coordinates:
Pr  0.000  0.000  0.000 x2
Pd  0.000  0.250  0.500 x6
O  0.250  0.250  0.250 x8

=====

Entry 7:
Diffraction record for Pr2PdO4. The powder XRD pattern is simulated, not measured: it uses a cell relaxed with GGA-PBE and Cu Ka.
Peak positions follow from Bragg's law for the DFT cell and can differ from measured ones.

Top 10 peaks for 2θ from 10° to 90°, in order of rising 2θ:
(3 1 1), 2θ = 30.32°, I = 100; (0 2 0), 2θ = 31.11°, I = 36; (6 0 0), 2θ = 42.22°, I = 16; (0 2 2), 2θ = 44.57°, I = 23; (6 2 0), 2θ = 53.37°, I = 20; (3 3 1), 2θ = 54.86°, I = 42; (6 2 2), 2θ = 63.07°, I = 11; (3 3 3), 2θ = 73.27°, I = 9; (9 3 1), 2θ = 86.77°, I = 9; (6 2 4), 2θ = 88.77°, I = 10

Atomic structure:
a b c (Å): 12.839 5.752 5.748
angles (deg): 90.00 90.00 90.00
Space group Cmce (No. 64)
Inequivalent atoms, fractional coordinates:
Pr  0.155  0.000  0.000 x8
Pd  0.000  0.000  0.500 x4
O  0.000  0.191  0.191 x8
O  0.250  0.241  0.750 x8

=====

Entry 8:
Diffraction record for PdPt2O6. The powder XRD pattern is simulated, not measured: it uses a cell relaxed with GGA-PBE and Cu Ka.
Peak positions follow from Bragg's law for the DFT cell and can differ from measured ones.

Top 10 peaks for 2θ from 10° to 90°, in order of rising 2θ:
(2 0 -1), 2θ = 18.22°, I = 100; (4 0 1), 2θ = 33.46°, I = 55; (3 1 0), 2θ = 35.16°, I = 33; (4 0 -2), 2θ = 36.92°, I = 11; (6 0 0), 2θ = 41.35°, I = 45; (0 0 3), 2θ = 45.52°, I = 20; (8 0 -1), 2θ = 55.46°, I = 17; (5 1 2), 2θ = 58.70°, I = 16; (7 1 -2), 2θ = 61.09°, I = 13; (7 1 1), 2θ = 62.01°, I = 22

Atomic structure:
a b c (Å): 13.303 3.148 6.078
angles (deg): 90.00 100.31 90.00
Space group C2/m (No. 12)
Inequivalent atoms, fractional coordinates:
Pd  0.000  0.000  0.000 x2
Pt  0.166  0.500  0.332 x4
O  0.012  0.500  0.221 x4
O  0.155  0.000  0.112 x4
O  0.178  0.000  0.552 x4